[1]
Theoretical PXRD pattern
Compound: SrAc4Te7
Radiation: Cu Ka
Structure: the GGA-PBE geometry in Alexandria
No peak broadening, texture or thermal motion is included.

Top 6 peaks for 2θ from 10° to 90°, by angle:
2θ 19.96, I = 87
2θ 25.84, I = 75
2θ 26.22, I = 92
2θ 27.16, I = 100
2θ 28.22, I = 79
2θ 38.83, I = 74

Structural model:
a = 8.113 Å, b = 8.113 Å, c = 13.973 Å
α = 104.81°, β = 104.81°, γ = 33.23°
Fractional positions:
1 Sr 0.000 0.000 0.000
2 Ac 0.129 0.129 0.420
3 Ac 0.230 0.230 0.852
4 Ac 0.434 0.434 0.632
5 Ac 0.824 0.824 0.236
6 Te 0.084 0.084 0.635
7 Te 0.166 0.166 0.203
8 Te 0.378 0.378 0.077
9 Te 0.467 0.467 0.381
10 Te 0.592 0.592 0.889
11 Te 0.790 0.790 0.477
12 Te 0.851 0.851 0.774



[2]
Theoretical PXRD pattern
Compound: Sr2Ac2Tl3
Radiation: Cu Ka
Structure: the GGA-PBE geometry in Alexandria
No peak broadening, texture or thermal motion is included.

Top 6 peaks for 2θ from 10° to 90°, by angle:
2θ 23.72, I = 25
2θ 30.85, I = 100
2θ 31.12, I = 100
2θ 44.39, I = 37
2θ 55.20, I = 40
2θ 55.37, I = 20

Structural model:
a = 10.072 Å, b = 10.072 Å, c = 10.072 Å
α = 33.16°, β = 33.16°, γ = 33.16°
Fractional positions:
1 Sr 0.128 0.128 0.128
2 Sr 0.872 0.872 0.872
3 Ac 0.379 0.379 0.379
4 Ac 0.621 0.621 0.621
5 Tl 0.000 0.000 0.000
6 Tl 0.250 0.250 0.250
7 Tl 0.750 0.750 0.750



[3]
Theoretical PXRD pattern
Compound: SrAcTl4
Radiation: Cu Ka
Structure: the GGA-PBE geometry in Alexandria
No peak broadening, texture or thermal motion is included.

Top 6 peaks for 2θ from 10° to 90°, by angle:
2θ 27.73, I = 21
2θ 29.21, I = 49
2θ 29.34, I = 100
2θ 33.31, I = 47
2θ 33.44, I = 46
2θ 35.13, I = 46

Structural model:
a = 5.109 Å, b = 6.675 Å, c = 6.828 Å
α = 74.59°, β = 68.11°, γ = 67.78°
Fractional positions:
1 Sr 0.000 0.000 0.000
2 Ac 0.072 0.429 0.419
3 Tl 0.372 0.462 0.785
4 Tl 0.374 0.883 0.371
5 Tl 0.702 0.965 0.633
6 Tl 0.703 0.542 0.044



[4]
Theoretical PXRD pattern
Compound: SrAc3Tl2
Radiation: Cu Ka
Structure: the GGA-PBE geometry in Alexandria
No peak broadening, texture or thermal motion is included.

Top 6 peaks for 2θ from 10° to 90°, by angle:
2θ 28.17, I = 29
2θ 29.05, I = 32
2θ 29.45, I = 83
2θ 29.78, I = 100
2θ 30.92, I = 57
2θ 42.94, I = 22

Structural model:
a = 5.784 Å, b = 10.527 Å, c = 7.572 Å
α = 90.00°, β = 90.00°, γ = 90.00°
Fractional positions:
1 Sr 0.000 0.047 0.000
2 Sr 0.000 0.953 0.500
3 Ac 0.000 0.327 0.671
4 Ac 0.000 0.673 0.171
5 Ac 0.500 0.171 0.299
6 Ac 0.500 0.454 0.973
7 Ac 0.500 0.546 0.473
8 Ac 0.500 0.829 0.799
9 Tl 0.000 0.345 0.207
10 Tl 0.000 0.655 0.707
11 Tl 0.500 0.153 0.760
12 Tl 0.500 0.847 0.260



[5]
Theoretical PXRD pattern
Compound: Sr5AcTl6
Radiation: Cu Ka
Structure: the GGA-PBE geometry in Alexandria
No peak broadening, texture or thermal motion is included.

Top 6 peaks for 2θ from 10° to 90°, by angle:
2θ 30.75, I = 100
2θ 30.81, I = 50
2θ 44.14, I = 19
2θ 54.63, I = 20
2θ 54.76, I = 40
2θ 72.87, I = 15

Structural model:
a = 5.808 Å, b = 8.208 Å, c = 9.193 Å
α = 90.00°, β = 108.18°, γ = 90.00°
Fractional positions:
1 Sr 0.000 0.000 0.000
2 Sr 0.330 0.500 0.661
3 Sr 0.333 0.000 0.667
4 Sr 0.667 0.000 0.333
5 Sr 0.670 0.500 0.339
6 Ac 0.000 0.500 0.000
7 Tl 0.166 0.248 0.332
8 Tl 0.166 0.752 0.332
9 Tl 0.500 0.250 0.000
10 Tl 0.500 0.750 0.000
11 Tl 0.834 0.248 0.668
12 Tl 0.834 0.752 0.668



[6]
Theoretical PXRD pattern
Compound: SrAc3Tl3
Radiation: Cu Ka
Structure: the GGA-PBE geometry in Alexandria
No peak broadening, texture or thermal motion is included.

Top 6 peaks for 2θ from 10° to 90°, by angle:
2θ 30.43, I = 24
2θ 31.01, I = 26
2θ 31.14, I = 100
2θ 44.00, I = 17
2θ 54.52, I = 15
2θ 55.25, I = 19

Structural model:
a = 8.233 Å, b = 8.233 Å, c = 8.018 Å
α = 90.00°, β = 90.00°, γ = 91.06°
Fractional positions:
1 Sr 0.212 0.212 0.000
2 Sr 0.788 0.788 0.000
3 Ac 0.225 0.775 0.500
4 Ac 0.253 0.253 0.500
5 Ac 0.283 0.717 0.000
6 Ac 0.717 0.283 0.000
7 Ac 0.747 0.747 0.500
8 Ac 0.775 0.225 0.500
9 Tl 0.000 0.500 0.247
10 Tl 0.000 0.500 0.753
11 Tl 0.500 0.000 0.247
12 Tl 0.500 0.000 0.753
13 Tl 0.500 0.500 0.272
14 Tl 0.500 0.500 0.728



[7]
Theoretical PXRD pattern
Compound: Sr3AcTl2
Radiation: Cu Ka
Structure: the GGA-PBE geometry in Alexandria
No peak broadening, texture or thermal motion is included.

Top 6 peaks for 2θ from 10° to 90°, by angle:
2θ 20.22, I = 24
2θ 21.16, I = 26
2θ 27.46, I = 27
2θ 28.77, I = 100
2θ 30.07, I = 61
2θ 32.01, I = 49

Structural model:
a = 5.592 Å, b = 10.523 Å, c = 7.980 Å
α = 90.00°, β = 90.00°, γ = 90.00°
Fractional positions:
1 Sr 0.000 0.065 0.000
2 Sr 0.000 0.317 0.365
3 Sr 0.000 0.683 0.865
4 Sr 0.000 0.935 0.500
5 Sr 0.500 0.175 0.687
6 Sr 0.500 0.825 0.187
7 Ac 0.500 0.440 0.049
8 Ac 0.500 0.560 0.549
9 Tl 0.000 0.364 0.796
10 Tl 0.000 0.636 0.296
11 Tl 0.500 0.145 0.253
12 Tl 0.500 0.855 0.753



[8]
Theoretical PXRD pattern
Compound: Sr2AcTl3
Radiation: Cu Ka
Structure: the GGA-PBE geometry in Alexandria
No peak broadening, texture or thermal motion is included.

Top 6 peaks for 2θ from 10° to 90°, by angle:
2θ 30.63, I = 100
2θ 31.03, I = 48
2θ 44.46, I = 18
2θ 54.19, I = 20
2θ 54.95, I = 39
2θ 63.77, I = 13

Structural model:
a = 4.075 Å, b = 4.075 Å, c = 12.549 Å
α = 90.00°, β = 90.00°, γ = 90.00°
Fractional positions:
1 Sr 0.000 0.000 0.163
2 Sr 0.000 0.000 0.837
3 Ac 0.000 0.000 0.500
4 Tl 0.500 0.500 0.000
5 Tl 0.500 0.500 0.330
6 Tl 0.500 0.500 0.670



[9]
Theoretical PXRD pattern
Compound: SrAc8Tl6
Radiation: Cu Ka
Structure: the GGA-PBE geometry in Alexandria
No peak broadening, texture or thermal motion is included.

Top 6 peaks for 2θ from 10° to 90°, by angle:
2θ 17.75, I = 22
2θ 31.00, I = 99
2θ 31.28, I = 100
2θ 44.62, I = 39
2θ 55.32, I = 41
2θ 55.86, I = 21

Structural model:
a = 9.051 Å, b = 9.051 Å, c = 9.051 Å
α = 67.02°, β = 67.02°, γ = 67.02°
Fractional positions:
1 Sr 0.000 0.000 0.000
2 Ac 0.109 0.777 0.444
3 Ac 0.223 0.556 0.891
4 Ac 0.336 0.336 0.336
5 Ac 0.444 0.109 0.777
6 Ac 0.556 0.891 0.223
7 Ac 0.664 0.664 0.664
8 Ac 0.777 0.444 0.109
9 Ac 0.891 0.223 0.556
10 Tl 0.058 0.390 0.727
11 Tl 0.273 0.942 0.610
12 Tl 0.390 0.727 0.058
13 Tl 0.610 0.273 0.942
14 Tl 0.727 0.058 0.390
15 Tl 0.942 0.610 0.273



[10]
Theoretical PXRD pattern
Compound: SrAc5Tl3
Radiation: Cu Ka
Structure: the GGA-PBE geometry in Alexandria
No peak broadening, texture or thermal motion is included.

Top 6 peaks for 2θ from 10° to 90°, by angle:
2θ 29.54, I = 90
2θ 30.26, I = 100
2θ 42.79, I = 33
2θ 53.30, I = 35
2θ 53.75, I = 20
2θ 58.30, I = 32

Structural model:
a = 10.233 Å, b = 10.233 Å, c = 7.497 Å
α = 90.00°, β = 90.00°, γ = 120.00°
Fractional positions:
1 Sr 0.000 0.000 0.000
2 Sr 0.000 0.000 0.500
3 Ac 0.000 0.339 0.250
4 Ac 0.000 0.661 0.750
5 Ac 0.333 0.667 0.000
6 Ac 0.333 0.667 0.500
7 Ac 0.339 0.000 0.250
8 Ac 0.339 0.339 0.750
9 Ac 0.661 0.000 0.750
10 Ac 0.661 0.661 0.250
11 Ac 0.667 0.333 0.000
12 Ac 0.667 0.333 0.500
13 Tl 0.000 0.326 0.750
14 Tl 0.000 0.674 0.250
15 Tl 0.326 0.000 0.750
16 Tl 0.326 0.326 0.250
17 Tl 0.674 0.000 0.250
18 Tl 0.674 0.674 0.750



[11]
Theoretical PXRD pattern
Compound: SrAcZn3
Radiation: Cu Ka
Structure: the GGA-PBE geometry in Alexandria
No peak broadening, texture or thermal motion is included.

Top 6 peaks for 2θ from 10° to 90°, by angle:
2θ 30.46, I = 100
2θ 30.57, I = 65
2θ 32.89, I = 42
2θ 36.30, I = 45
2θ 38.64, I = 29
2θ 50.05, I = 34

Structural model:
a = 14.745 Å, b = 14.745 Å, c = 4.660 Å
α = 90.00°, β = 90.00°, γ = 164.02°
Fractional positions:
1 Sr 0.203 0.797 0.750
2 Sr 0.797 0.203 0.250
3 Ac 0.069 0.931 0.250
4 Ac 0.931 0.069 0.750
5 Zn 0.337 0.663 0.750
6 Zn 0.385 0.615 0.250
7 Zn 0.477 0.523 0.250
8 Zn 0.523 0.477 0.750
9 Zn 0.615 0.385 0.750
10 Zn 0.663 0.337 0.250



[12]
Theoretical PXRD pattern
Compound: SrAc2Zn6
Radiation: Cu Ka
Structure: the GGA-PBE geometry in Alexandria
No peak broadening, texture or thermal motion is included.

Top 6 peaks for 2θ from 10° to 90°, by angle:
2θ 21.83, I = 22
2θ 31.59, I = 100
2θ 38.29, I = 50
2θ 50.45, I = 27
2θ 61.39, I = 24
2θ 65.06, I = 25

Structural model:
a = 8.144 Å, b = 8.144 Å, c = 3.941 Å
α = 90.00°, β = 90.00°, γ = 120.00°
Fractional positions:
1 Sr 0.000 0.000 0.000
2 Ac 0.333 0.667 0.000
3 Ac 0.667 0.333 0.000
4 Zn 0.000 0.330 0.500
5 Zn 0.000 0.670 0.500
6 Zn 0.330 0.000 0.500
7 Zn 0.330 0.330 0.500
8 Zn 0.670 0.000 0.500
9 Zn 0.670 0.670 0.500



[13]
Theoretical PXRD pattern
Compound: SrAc2Zn4
Radiation: Cu Ka
Structure: the GGA-PBE geometry in Alexandria
No peak broadening, texture or thermal motion is included.

Top 6 peaks for 2θ from 10° to 90°, by angle:
2θ 20.19, I = 43
2θ 23.36, I = 10
2θ 33.27, I = 100
2θ 39.24, I = 23
2θ 47.77, I = 17
2θ 59.49, I = 28

Structural model:
a = 9.343 Å, b = 9.343 Å, c = 9.343 Å
α = 33.47°, β = 33.47°, γ = 33.47°
Fractional positions:
1 Sr 0.000 0.000 0.000
2 Ac 0.243 0.243 0.243
3 Ac 0.757 0.757 0.757
4 Zn 0.121 0.121 0.121
5 Zn 0.381 0.381 0.381
6 Zn 0.619 0.619 0.619
7 Zn 0.879 0.879 0.879



[14]
Theoretical PXRD pattern
Compound: AcTb4
Radiation: Cu Ka
Structure: the GGA-PBE geometry in Alexandria
No peak broadening, texture or thermal motion is included.

Top 6 peaks for 2θ from 10° to 90°, by angle:
2θ 29.46, I = 17
2θ 31.15, I = 100
2θ 43.43, I = 12
2θ 55.47, I = 19
2θ 56.44, I = 8
2θ 60.38, I = 18

Structural model:
a = 3.628 Å, b = 5.736 Å, c = 16.558 Å
α = 90.00°, β = 90.00°, γ = 90.00°
Fractional positions:
1 Ac 0.000 0.000 0.000
2 Ac 0.500 0.500 0.500
3 Tb 0.000 0.000 0.399
4 Tb 0.000 0.000 0.601
5 Tb 0.000 0.500 0.284
6 Tb 0.000 0.500 0.716
7 Tb 0.500 0.000 0.216
8 Tb 0.500 0.000 0.784
9 Tb 0.500 0.500 0.101
10 Tb 0.500 0.500 0.899